(1)
For MoCl5, the PBE geometry in the Materials Project gives the theoretical powder diffractogram in this record (Cu Ka).
Neutral-atom scattering factors, no anomalous dispersion.

Atomic structure:
Unit cell a=9.7278 b=12.3814 c=12.9652 alpha=90.00 beta=109.72 gamma=90.00
Space group P2_1/c (No. 14)
Unique sites:
1 Mo 0.1194 0.1280 0.3145
2 Mo 0.3056 0.6245 0.2936
3 Cl 0.0913 0.5193 0.1654
4 Cl 0.0937 0.2356 0.4499
5 Cl 0.0949 0.7340 0.3133
6 Cl 0.0959 0.0220 0.1650
7 Cl 0.2778 0.5179 0.4291
8 Cl 0.2825 0.7314 0.1449
9 Cl 0.2825 0.2409 0.2799
10 Cl 0.2842 0.0159 0.4311
11 Cl 0.4682 0.5112 0.2583
12 Cl 0.4722 0.7344 0.4120

Top 10 peaks for 2θ from 10° to 80°, in order of rising 2θ:
(0 0 2), 14.5°, I = 73; (0 2 1), 16.1°, I = 100; (1 1 -2), 16.2°, I = 17; (1 2 -1), 17.4°, I = 16; (2 1 0), 20.7°, I = 16; (1 2 -4), 31.1°, I = 14; (3 2 -2), 31.6°, I = 49; (1 3 -4), 35.2°, I = 20; (3 3 -2), 35.5°, I = 16; (2 3 2), 35.6°, I = 15

=====

(2)
For MoCl5, the PBE geometry in the Materials Project gives the theoretical powder diffractogram in this record (Cu Ka).
Neutral-atom scattering factors, no anomalous dispersion.

Atomic structure:
Unit cell a=18.1707 b=18.2015 c=6.3403 alpha=90.00 beta=95.77 gamma=90.00
Space group C2/m (No. 12)
Unique sites:
1 Mo 0.0000 0.1072 0.0000
2 Mo 0.1666 0.3930 0.5663
3 Cl 0.0731 0.0000 0.8717
4 Cl 0.0735 0.0945 0.3130
5 Cl 0.0766 0.1896 0.8628
6 Cl 0.0878 0.4053 0.8239
7 Cl 0.0938 0.3099 0.3758
8 Cl 0.0957 0.5000 0.3836
9 Cl 0.2371 0.5000 0.7494
10 Cl 0.2404 0.3104 0.7559
11 Cl 0.2454 0.4059 0.3090

Top 10 peaks for 2θ from 10° to 80°, in order of rising 2θ:
(1 1 -1), 15.2°, I = 77; (3 1 0), 15.5°, I = 100; (2 0 1), 17.9°, I = 39; (0 4 0), 19.5°, I = 31; (3 5 -1), 31.4°, I = 28; (3 5 1), 32.7°, I = 51; (4 0 -2), 33.0°, I = 20; (5 5 1), 38.8°, I = 23; (1 5 -3), 49.9°, I = 25; (0 10 0), 50.1°, I = 20

=====

(3)
For MoCl3, the PBE geometry in the Materials Project gives the theoretical powder diffractogram in this record (Cu Ka).
Neutral-atom scattering factors, no anomalous dispersion.

Atomic structure:
Unit cell a=6.2649 b=10.0311 c=13.1037 alpha=90.00 beta=90.31 gamma=90.00
Space group C2/c (No. 15)
Unique sites:
1 Mo 0.0000 0.0205 0.2500
2 Mo 0.0000 0.3130 0.2500
3 Cl 0.1482 0.1667 0.1239
4 Cl 0.1694 0.1630 0.6493
5 Cl 0.1693 0.4967 0.1492

Top 10 peaks for 2θ from 10° to 80°, in order of rising 2θ:
(0 0 2), 13.5°, I = 100; (1 1 0), 16.7°, I = 9; (1 1 1), 18.0°, I = 40; (2 0 2), 31.7°, I = 28; (1 3 -2), 33.3°, I = 44; (2 0 4), 39.9°, I = 13; (1 3 -4), 41.1°, I = 25; (1 3 4), 41.2°, I = 9; (3 3 0), 51.6°, I = 16; (1 3 6), 52.2°, I = 13

=====

(4)
For MoCl3, the PBE geometry in the Materials Project gives the theoretical powder diffractogram in this record (Cu Ka).
Neutral-atom scattering factors, no anomalous dispersion.

Atomic structure:
Unit cell a=5.8172 b=10.1036 c=13.0937 alpha=90.00 beta=92.53 gamma=90.00
Space group C2/m (No. 12)
Unique sites:
1 Mo 0.0000 0.1296 0.0000
2 Mo 0.0000 0.1866 0.5000
3 Cl 0.1552 0.0000 0.8675
4 Cl 0.1551 0.3235 0.8953
5 Cl 0.1642 0.0000 0.4030
6 Cl 0.1658 0.3358 0.3805

Top 10 peaks for 2θ from 10° to 80°, in order of rising 2θ:
(0 0 2), 13.5°, I = 100; (1 1 0), 17.6°, I = 30; (1 1 -2), 21.9°, I = 13; (1 1 2), 22.7°, I = 12; (1 3 -2), 33.4°, I = 44; (2 0 2), 34.3°, I = 26; (1 3 -4), 41.0°, I = 23; (2 0 4), 42.5°, I = 11; (1 3 6), 53.0°, I = 13; (3 3 0), 54.7°, I = 13